Theoretical X-ray powder pattern
Compound: Nd10HoTm6
Radiation: CuKα
Structure: a cell relaxed with GGA-PBE
No peak broadening, texture or thermal motion is included.

Crystal structure
Lattice parameters (Å, degrees): 9.807 9.807 6.883 90.00 90.00 120.00
Sites, in units of the cell vectors:
Nd 0.000 0.276 0.318
Nd 0.000 0.724 0.682
Nd 0.276 0.000 0.318
Nd 0.276 0.276 0.682
Nd 0.333 0.667 0.000
Nd 0.333 0.667 0.500
Nd 0.667 0.333 0.000
Nd 0.667 0.333 0.500
Nd 0.724 0.000 0.682
Nd 0.724 0.724 0.318
Ho 0.000 0.000 0.000
Tm 0.000 0.367 0.815
Tm 0.000 0.633 0.185
Tm 0.367 0.000 0.815
Tm 0.367 0.367 0.185
Tm 0.633 0.000 0.185
Tm 0.633 0.633 0.815

Main lines, in order of rising 2θ (2θ from 15° to 90°):
2.909 Å, 30.73°, I = 37
2.831 Å, 31.60°, I = 81
2.817 Å, 31.77°, I = 100
1.997 Å, 45.42°, I = 27
1.875 Å, 48.56°, I = 13
1.632 Å, 56.39°, I = 19
1.624 Å, 56.69°, I = 19
1.489 Å, 62.35°, I = 11

---

Theoretical X-ray powder pattern
Compound: Nd4Ho3Tm8
Radiation: CuKα
Structure: a cell relaxed with GGA-PBE
No peak broadening, texture or thermal motion is included.

Crystal structure
Lattice parameters (Å, degrees): 12.403 12.403 12.403 32.34 32.34 32.34
Sites, in units of the cell vectors:
Nd 0.000 0.000 0.000
Nd 0.163 0.163 0.163
Nd 0.500 0.500 0.500
Nd 0.837 0.837 0.837
Ho 0.000 0.500 0.500
Ho 0.500 0.000 0.500
Ho 0.500 0.500 0.000
Tm 0.250 0.250 0.747
Tm 0.250 0.747 0.250
Tm 0.253 0.750 0.750
Tm 0.256 0.256 0.256
Tm 0.744 0.744 0.744
Tm 0.747 0.250 0.250
Tm 0.750 0.253 0.750
Tm 0.750 0.750 0.253

Main lines, in order of rising 2θ (2θ from 15° to 90°):
2.979 Å, 29.99°, I = 22
2.936 Å, 30.45°, I = 54
2.833 Å, 31.59°, I = 100
2.475 Å, 36.30°, I = 73
1.773 Å, 51.54°, I = 23
1.727 Å, 53.02°, I = 36
1.518 Å, 61.04°, I = 16
1.489 Å, 62.37°, I = 44

---

Theoretical X-ray powder pattern
Compound: NdHo4Tm2
Radiation: CuKα
Structure: a cell relaxed with GGA-PBE
No peak broadening, texture or thermal motion is included.

Crystal structure
Lattice parameters (Å, degrees): 16.536 3.509 8.687 90.00 119.20 90.00
Sites, in units of the cell vectors:
Nd 0.000 0.000 0.000
Nd 0.500 0.500 0.000
Ho 0.141 0.500 0.830
Ho 0.205 0.500 0.294
Ho 0.295 0.000 0.706
Ho 0.359 0.000 0.170
Ho 0.641 0.000 0.830
Ho 0.705 0.000 0.294
Ho 0.795 0.500 0.706
Ho 0.859 0.500 0.170
Tm 0.071 0.000 0.431
Tm 0.429 0.500 0.569
Tm 0.571 0.500 0.431
Tm 0.929 0.000 0.569

Main lines, in order of rising 2θ (2θ from 15° to 90°):
2.948 Å, 30.32°, I = 37
2.835 Å, 31.56°, I = 100
2.813 Å, 31.81°, I = 48
2.705 Å, 33.12°, I = 45
2.694 Å, 33.25°, I = 46
1.871 Å, 48.67°, I = 19
1.492 Å, 62.23°, I = 15
1.472 Å, 63.17°, I = 14

---

Theoretical X-ray powder pattern
Compound: NdHo3Tm3
Radiation: CuKα
Structure: a cell relaxed with GGA-PBE
No peak broadening, texture or thermal motion is included.

Crystal structure
Lattice parameters (Å, degrees): 6.584 6.584 6.584 108.08 108.08 108.08
Sites, in units of the cell vectors:
Nd 0.000 0.000 0.000
Ho 0.018 0.428 0.428
Ho 0.428 0.018 0.428
Ho 0.428 0.428 0.018
Tm 0.469 0.919 0.919
Tm 0.919 0.469 0.919
Tm 0.919 0.919 0.469

Main lines, in order of rising 2θ (2θ from 15° to 90°):
3.077 Å, 29.02°, I = 42
2.795 Å, 32.02°, I = 100
2.665 Å, 33.63°, I = 67
2.475 Å, 36.30°, I = 32
1.929 Å, 47.12°, I = 20
1.814 Å, 50.31°, I = 18
1.641 Å, 56.03°, I = 17
1.478 Å, 62.87°, I = 17

---

Theoretical X-ray powder pattern
Compound: Nd12HoTm5
Radiation: CuKα
Structure: a cell relaxed with GGA-PBE
No peak broadening, texture or thermal motion is included.

Crystal structure
Lattice parameters (Å, degrees): 10.841 5.135 10.858 90.00 90.43 90.00
Sites, in units of the cell vectors:
Nd 0.002 0.000 0.168
Nd 0.165 0.500 0.665
Nd 0.169 0.500 0.002
Nd 0.331 0.000 0.498
Nd 0.336 0.000 0.836
Nd 0.498 0.500 0.331
Nd 0.502 0.500 0.669
Nd 0.664 0.000 0.164
Nd 0.669 0.000 0.502
Nd 0.831 0.500 0.998
Nd 0.835 0.500 0.335
Nd 0.998 0.000 0.832
Ho 0.000 0.000 0.500
Tm 0.167 0.500 0.333
Tm 0.333 0.000 0.167
Tm 0.500 0.500 0.000
Tm 0.667 0.000 0.833
Tm 0.833 0.500 0.667

Main lines, in order of rising 2θ (2θ from 15° to 90°):
2.957 Å, 30.23°, I = 100
2.567 Å, 34.95°, I = 34
2.548 Å, 35.23°, I = 17
1.815 Å, 50.26°, I = 12
1.808 Å, 50.47°, I = 24
1.547 Å, 59.78°, I = 29
1.538 Å, 60.15°, I = 14
1.478 Å, 62.86°, I = 12

---

Theoretical X-ray powder pattern
Compound: Nd2Ho5Tm4
Radiation: CuKα
Structure: a cell relaxed with GGA-PBE
No peak broadening, texture or thermal motion is included.

Crystal structure
Lattice parameters (Å, degrees): 3.541 8.665 11.729 75.73 81.35 89.96
Sites, in units of the cell vectors:
Nd 0.090 0.227 0.318
Nd 0.910 0.773 0.682
Ho 0.000 0.500 0.500
Ho 0.272 0.684 0.956
Ho 0.363 0.407 0.774
Ho 0.637 0.593 0.226
Ho 0.728 0.316 0.044
Tm 0.182 0.954 0.136
Tm 0.453 0.138 0.594
Tm 0.547 0.862 0.406
Tm 0.818 0.046 0.864

Main lines, in order of rising 2θ (2θ from 15° to 90°):
2.889 Å, 30.96°, I = 100
2.502 Å, 35.89°, I = 51
1.770 Å, 51.63°, I = 6
1.769 Å, 51.68°, I = 30
1.509 Å, 61.46°, I = 43
1.444 Å, 64.53°, I = 9
1.148 Å, 84.41°, I = 12
1.119 Å, 87.09°, I = 14

---

Theoretical X-ray powder pattern
Compound: Nd5Ho2Tm2
Radiation: CuKα
Structure: a cell relaxed with GGA-PBE
No peak broadening, texture or thermal motion is included.

Crystal structure
Lattice parameters (Å, degrees): 10.402 10.402 10.402 86.80 103.52 145.28
Sites, in units of the cell vectors:
Nd 0.159 0.487 0.959
Nd 0.159 0.699 0.171
Nd 0.199 0.049 0.247
Nd 0.199 0.451 0.650
Nd 0.528 0.199 0.041
Nd 0.528 0.987 0.829
Nd 0.577 0.503 0.574
Nd 0.801 0.549 0.350
Nd 0.801 0.951 0.753
Nd 0.929 0.003 0.426
Ho 0.221 0.027 0.694
Ho 0.333 0.527 0.306
Ho 0.410 0.410 0.000
Ho 0.410 0.910 0.500
Tm 0.797 0.212 0.315
Tm 0.797 0.983 0.086
Tm 0.897 0.483 0.685
Tm 0.897 0.712 0.914

Main lines, in order of rising 2θ (2θ from 15° to 90°):
3.199 Å, 27.89°, I = 32
3.131 Å, 28.51°, I = 39
3.104 Å, 28.76°, I = 35
2.943 Å, 30.37°, I = 62
2.871 Å, 31.15°, I = 37
2.808 Å, 31.87°, I = 100
2.589 Å, 34.65°, I = 32
2.580 Å, 34.78°, I = 88

---

Theoretical X-ray powder pattern
Compound: Nd2Y4Ho2Tm
Radiation: CuKα
Structure: a cell relaxed with GGA-PBE
No peak broadening, texture or thermal motion is included.

Crystal structure
Lattice parameters (Å, degrees): 9.527 9.527 9.583 115.19 115.19 21.84
Sites, in units of the cell vectors:
Nd 0.165 0.165 0.497
Nd 0.835 0.835 0.503
Y 0.019 0.019 0.835
Y 0.314 0.314 0.166
Y 0.686 0.686 0.834
Y 0.981 0.981 0.165
Ho 0.353 0.353 0.837
Ho 0.647 0.647 0.163
Tm 0.500 0.500 0.500

Main lines, in order of rising 2θ (2θ from 15° to 90°):
3.100 Å, 28.80°, I = 46
2.879 Å, 31.07°, I = 49
2.812 Å, 31.82°, I = 100
2.674 Å, 33.51°, I = 91
1.801 Å, 50.68°, I = 25
1.680 Å, 54.64°, I = 21
1.592 Å, 57.93°, I = 19
1.527 Å, 60.64°, I = 29

---

Theoretical X-ray powder pattern
Compound: NdYHo2Tm
Radiation: CuKα
Structure: a cell relaxed with GGA-PBE
No peak broadening, texture or thermal motion is included.

Crystal structure
Lattice parameters (Å, degrees): 7.095 7.095 7.210 90.00 90.00 107.56
Sites, in units of the cell vectors:
Nd 0.228 0.772 0.750
Nd 0.772 0.228 0.250
Y 0.499 0.501 0.250
Y 0.501 0.499 0.750
Ho 0.189 0.189 0.000
Ho 0.189 0.189 0.500
Ho 0.811 0.811 0.000
Ho 0.811 0.811 0.500
Tm 0.219 0.781 0.250
Tm 0.781 0.219 0.750

Main lines, in order of rising 2θ (2θ from 15° to 90°):
3.382 Å, 26.35°, I = 82
3.050 Å, 29.28°, I = 92
2.862 Å, 31.26°, I = 60
2.733 Å, 32.77°, I = 100
2.501 Å, 35.91°, I = 51
2.255 Å, 39.99°, I = 41
1.977 Å, 45.91°, I = 62
1.590 Å, 58.00°, I = 38

---

Theoretical X-ray powder pattern
Compound: NdYHoTm2
Radiation: CuKα
Structure: a cell relaxed with GGA-PBE
No peak broadening, texture or thermal motion is included.

Crystal structure
Lattice parameters (Å, degrees): 7.080 7.080 7.195 90.00 90.00 107.69
Sites, in units of the cell vectors:
Nd 0.227 0.773 0.750
Nd 0.773 0.227 0.250
Y 0.499 0.501 0.250
Y 0.501 0.499 0.750
Ho 0.219 0.781 0.250
Ho 0.781 0.219 0.750
Tm 0.188 0.188 0.000
Tm 0.188 0.188 0.500
Tm 0.812 0.812 0.000
Tm 0.812 0.812 0.500

Main lines, in order of rising 2θ (2θ from 15° to 90°):
3.372 Å, 26.43°, I = 82
3.045 Å, 29.33°, I = 94
2.858 Å, 31.30°, I = 62
2.726 Å, 32.86°, I = 100
2.496 Å, 35.98°, I = 52
2.248 Å, 40.11°, I = 43
1.973 Å, 46.01°, I = 62
1.587 Å, 58.14°, I = 38

---

Theoretical X-ray powder pattern
Compound: Nd2Ho6Tm3Zr
Radiation: CuKα
Structure: a cell relaxed with GGA-PBE
No peak broadening, texture or thermal motion is included.

Crystal structure
Lattice parameters (Å, degrees): 6.075 6.075 11.625 94.97 94.97 119.92
Sites, in units of the cell vectors:
Nd 0.167 0.833 0.000
Nd 0.833 0.167 0.000
Ho 0.090 0.417 0.751
Ho 0.257 0.257 0.249
Ho 0.417 0.090 0.751
Ho 0.583 0.910 0.249
Ho 0.743 0.743 0.751
Ho 0.910 0.583 0.249
Tm 0.000 0.000 0.500
Tm 0.334 0.666 0.500
Tm 0.666 0.334 0.500
Zr 0.500 0.500 0.000

Main lines, in order of rising 2θ (2θ from 15° to 90°):
2.864 Å, 31.23°, I = 100
2.480 Å, 36.22°, I = 50
1.754 Å, 52.15°, I = 36
1.496 Å, 62.02°, I = 21
1.495 Å, 62.09°, I = 21
1.432 Å, 65.14°, I = 12
1.139 Å, 85.24°, I = 9
1.138 Å, 85.33°, I = 9

---

Theoretical X-ray powder pattern
Compound: NdY12Ho5
Radiation: CuKα
Structure: a cell relaxed with GGA-PBE
No peak broadening, texture or thermal motion is included.

Crystal structure
Lattice parameters (Å, degrees): 10.695 10.695 5.038 90.00 90.00 90.11
Sites, in units of the cell vectors:
Nd 0.000 0.000 0.000
Y 0.001 0.666 0.000
Y 0.167 0.167 0.500
Y 0.168 0.501 0.500
Y 0.334 0.999 0.000
Y 0.335 0.335 0.000
Y 0.499 0.832 0.500
Y 0.501 0.168 0.500
Y 0.665 0.665 0.000
Y 0.666 0.001 0.000
Y 0.832 0.499 0.500
Y 0.833 0.833 0.500
Y 0.999 0.334 0.000
Ho 0.168 0.832 0.500
Ho 0.334 0.666 0.000
Ho 0.500 0.500 0.500
Ho 0.666 0.334 0.000
Ho 0.832 0.168 0.500

Main lines, in order of rising 2θ (2θ from 15° to 90°):
3.470 Å, 25.67°, I = 6
2.910 Å, 30.72°, I = 100
2.520 Å, 35.62°, I = 50
1.782 Å, 51.26°, I = 35
1.520 Å, 60.96°, I = 41
1.455 Å, 63.99°, I = 12
1.156 Å, 83.62°, I = 17
1.127 Å, 86.36°, I = 10

---

Theoretical X-ray powder pattern
Compound: Nd2Y3Ho7
Radiation: CuKα
Structure: a cell relaxed with GGA-PBE
No peak broadening, texture or thermal motion is included.

Crystal structure
Lattice parameters (Å, degrees): 5.783 3.595 18.702 90.00 93.56 90.00
Sites, in units of the cell vectors:
Nd 0.207 0.000 0.293
Nd 0.793 0.000 0.707
Y 0.000 0.000 0.000
Y 0.278 0.500 0.630
Y 0.722 0.500 0.370
Ho 0.185 0.500 0.142
Ho 0.242 0.000 0.462
Ho 0.314 0.000 0.826
Ho 0.500 0.500 0.000
Ho 0.686 0.000 0.174
Ho 0.758 0.000 0.538
Ho 0.815 0.500 0.858

Main lines, in order of rising 2θ (2θ from 15° to 90°):
3.111 Å, 28.69°, I = 32
2.929 Å, 30.52°, I = 31
2.882 Å, 31.03°, I = 61
2.873 Å, 31.13°, I = 100
2.811 Å, 31.83°, I = 52
2.669 Å, 33.58°, I = 38
2.593 Å, 34.59°, I = 34
1.525 Å, 60.73°, I = 33